No. 1
SmEr2Sb2: simulated PXRD pattern (Cu Kα (weighted mean of Kα1 and Kα2)), based on DFT lattice parameters and positions (PBE).

Main lines, sorted by position (2θ from 10° to 80°):
24.76°, I 144, (0 0 2)
27.24°, I 365, (1 1 1)
30.79°, I 1000, (0 2 1)
30.96°, I 339, (2 0 -2)
37.08°, I 208, (1 1 2)
37.20°, I 210, (1 1 -3)
37.79°, I 301, (2 0 1)
40.24°, I 575, (2 2 -1)
55.84°, I 191, (1 3 2)
72.06°, I 151, (0 2 5)

Crystal structure
Cell: 6.3221 6.3562 7.8412 Å, 90.00 113.50 90.00°
Space group C2/m (No. 12)
Unique sites:
1 Sm 0.0000 0.0000 0.0000
2 Er 0.0000 0.2507 0.5000
3 Sb 0.1062 0.5000 0.2079

No. 2
VRuRh: simulated PXRD pattern (Cu Kα (weighted mean of Kα1 and Kα2)), based on DFT lattice parameters and positions (PBE).

Main lines, sorted by position (2θ from 10° to 80°):
24.26°, I 47, (1 0 0)
29.53°, I 173, (0 1 1)
41.83°, I 1000, (0 1 2)
42.68°, I 955, (1 1 0)
52.75°, I 36, (2 0 1)
61.30°, I 312, (2 0 2)
70.10°, I 32, (1 2 1)
70.51°, I 64, (0 0 4)
77.56°, I 307, (1 2 2)
78.14°, I 151, (3 0 0)

Crystal structure
Cell: 4.2370 4.2370 5.3422 Å, 90.00 90.00 120.00°
Space group P3m1 (No. 156)
Unique sites:
1 V 0.0000 0.0000 0.0000
2 V 0.3333 0.6667 0.5336
3 Ru 0.0000 0.0000 0.5126
4 Ru 0.6667 0.3333 0.7703
5 Rh 0.3333 0.6667 0.0317
6 Rh 0.6667 0.3333 0.2707

No. 3
Ag8GeTe6: simulated PXRD pattern (Cu Kα (weighted mean of Kα1 and Kα2)), based on DFT lattice parameters and positions (PBE).

Main lines, sorted by position (2θ from 10° to 80°):
24.61°, I 682, (1 0 1)
24.88°, I 644, (1 1 -2)
26.00°, I 679, (0 2 0)
26.36°, I 410, (2 0 -2)
32.94°, I 415, (0 2 1)
37.66°, I 431, (-1 3 1)
38.19°, I 492, (-3 1 3)
39.35°, I 1000, (3 -1 0)
39.47°, I 762, (1 -3 2)
42.74°, I 688, (2 2 -2)

Crystal structure
Cell: 8.1951 8.2499 8.2748 Å, 92.16 118.44 118.04°
Space group P1 (No. 1)
Unique sites:
1 Ag 0.0000 0.0000 0.0000
2 Ag 0.0107 0.7262 0.7348
3 Ag 0.2037 0.5331 0.2889
4 Ag 0.3192 0.9322 0.2766
5 Ag 0.4261 0.1188 0.9989
6 Ag 0.4953 0.5079 0.9707
7 Ag 0.7265 0.3135 0.5718
8 Ag 0.7791 0.2020 0.9125
9 Ge 0.9524 0.0955 0.4766
10 Te 0.1529 0.4723 0.6034
11 Te 0.2240 0.9806 0.5907
12 Te 0.4211 0.3522 0.2487
13 Te 0.6624 0.9285 0.0990
14 Te 0.6822 0.9280 0.5923
15 Te 0.8855 0.5826 0.9805

No. 4
Na2Ac2UO6: simulated PXRD pattern (Cu Kα (weighted mean of Kα1 and Kα2)), based on DFT lattice parameters and positions (PBE).

Main lines, sorted by position (2θ from 10° to 80°):
15.31°, I 1000, (0 0 1)
27.55°, I 427, (1 3 0)
28.29°, I 222, (2 0 0)
28.81°, I 210, (2 0 -1)
29.93°, I 358, (1 3 -1)
30.90°, I 181, (0 0 2)
33.33°, I 459, (1 3 1)
36.78°, I 183, (2 0 -2)
39.12°, I 163, (1 3 -2)
44.48°, I 162, (1 3 2)

Crystal structure
Cell: 6.4985 11.3156 5.9601 Å, 90.00 103.84 90.00°
Space group C2/m (No. 12)
Unique sites:
1 Na 0.0000 0.1399 0.0000
2 Ac 0.0000 0.3353 0.5000
3 U 0.0000 0.0000 0.5000
4 O 0.1874 0.1587 0.6901
5 O 0.2342 0.0000 0.2957

No. 5
BeIn4Co: simulated PXRD pattern (Cu Kα (weighted mean of Kα1 and Kα2)), based on DFT lattice parameters and positions (PBE).

Main lines, sorted by position (2θ from 10° to 80°):
18.60°, I 766, (1 1 1)
36.05°, I 1000, (3 1 1)
37.72°, I 803, (2 2 2)
43.83°, I 282, (4 0 0)
48.00°, I 194, (3 3 1)
58.00°, I 319, (5 1 1)
63.72°, I 316, (4 4 0)
67.01°, I 139, (5 3 1)
75.45°, I 107, (5 3 3)
76.48°, I 288, (6 2 2)

Crystal structure
Cell: 8.2622 8.2622 8.2622 Å, 90.00 90.00 90.00°
Space group F-43m (No. 216)
Unique sites:
1 Be 0.0000 0.0000 0.0000
2 In 0.1249 0.1249 0.3751
3 Co 0.2500 0.2500 0.7500

No. 6
HoIn2Pd9: simulated PXRD pattern (Cu Kα (weighted mean of Kα1 and Kα2)), based on DFT lattice parameters and positions (PBE).

Main lines, sorted by position (2θ from 10° to 80°):
21.86°, I 8, (0 0 3)
31.11°, I 7, (1 1 0)
38.35°, I 1000, (1 1 3)
44.58°, I 486, (2 0 0)
64.88°, I 309, (2 2 0)
77.88°, I 118, (1 1 9)
77.99°, I 242, (3 1 3)

Crystal structure
Cell: 4.0629 4.0629 12.2077 Å, 90.00 90.00 90.00°
Space group P4/mmm (No. 123)
Unique sites:
1 Ho 0.0000 0.0000 0.0000
2 In 0.0000 0.0000 0.3377
3 Pd 0.0000 0.5000 0.1713
4 Pd 0.0000 0.5000 0.5000
5 Pd 0.5000 0.5000 0.0000
6 Pd 0.5000 0.5000 0.3341